# 1
Simulated powder diffraction line list of Li2Y3In5 for λ = 1.5418 Å (Cu Kα), from DFT lattice parameters and positions (GGA-PBE).

Structural model:
a = 10.357 Å, b = 10.357 Å, c = 4.391 Å
α = 90.00°, β = 90.00°, γ = 90.00°
Positions (direct):
Li: 0.120 0.380 0.000
Li: 0.380 0.880 0.000
Li: 0.620 0.120 0.000
Li: 0.880 0.620 0.000
Y: 0.000 0.000 0.000
Y: 0.174 0.674 0.000
Y: 0.326 0.174 0.000
Y: 0.500 0.500 0.000
Y: 0.674 0.826 0.000
Y: 0.826 0.326 0.000
In: 0.000 0.500 0.500
In: 0.075 0.212 0.500
In: 0.212 0.925 0.500
In: 0.288 0.425 0.500
In: 0.425 0.712 0.500
In: 0.500 0.000 0.500
In: 0.575 0.288 0.500
In: 0.712 0.575 0.500
In: 0.788 0.075 0.500
In: 0.925 0.788 0.500

The 8 most intense peaks (2θ from 10° to 90°), sorted by position:
2θ = 28.0°, I = 64, (2 1 1)
2θ = 31.8°, I = 26, (2 2 1)
2θ = 34.2°, I = 100, (3 1 1)
2θ = 35.7°, I = 51, (4 1 0)
2θ = 37.4°, I = 33, (3 2 1)
2θ = 38.9°, I = 29, (4 2 0)
2θ = 41.1°, I = 31, (0 0 2)
2θ = 55.6°, I = 28, (4 1 2)

***

# 2
Simulated powder diffraction line list of LiY4In3 for λ = 1.5418 Å (Cu Kα), from DFT lattice parameters and positions (GGA-PBE).

Structural model:
a = 5.218 Å, b = 5.218 Å, c = 15.459 Å
α = 90.00°, β = 90.00°, γ = 90.00°
Positions (direct):
Li: 0.000 0.000 0.000
Li: 0.500 0.500 0.500
Y: 0.000 0.500 0.125
Y: 0.000 0.500 0.375
Y: 0.000 0.500 0.625
Y: 0.000 0.500 0.875
Y: 0.500 0.000 0.125
Y: 0.500 0.000 0.375
Y: 0.500 0.000 0.625
Y: 0.500 0.000 0.875
In: 0.000 0.000 0.246
In: 0.000 0.000 0.500
In: 0.000 0.000 0.754
In: 0.500 0.500 0.000
In: 0.500 0.500 0.254
In: 0.500 0.500 0.746

The 8 most intense peaks (2θ from 10° to 90°), sorted by position:
2θ = 17.9°, I = 10, (1 0 1)
2θ = 33.6°, I = 100, (1 1 4)
2θ = 34.4°, I = 47, (2 0 0)
2θ = 47.0°, I = 9, (0 0 8)
2θ = 49.4°, I = 16, (2 2 0)
2θ = 59.5°, I = 18, (2 0 8)
2θ = 61.1°, I = 34, (3 1 4)
2θ = 70.6°, I = 11, (2 2 8)